# Sr3As2O8
Calculated X-ray powder pattern, Cu Kα X-rays. Input: a crystal structure in the Materials Project, relaxed with PBE.
Kinematic intensities with the Lorentz-polarization factor, no thermal factor.

Structural model:
a b c (Å): 5.9900 10.2089 10.2694
angles (deg): 90.00 124.07 90.00
Space group P2_1/c (No. 14)
Unique sites:
Sr 0.0000 0.0000 0.0000 x2
Sr 0.0490 0.1445 0.6332 x4
As 0.3373 0.6916 0.2992 x4
O 0.1899 0.5830 0.1438 x4
O 0.2104 0.6522 0.7389 x4
O 0.2539 0.6482 0.4288 x4
O 0.3224 0.1893 0.1155 x4

Largest 10 diffraction maxima, by angle, 10° ≤ 2θ ≤ 90°:
| 2theta | Rel. int. | index |
| --- | --- | --- |
| 17.88 | 43 | 1 0 0 |
| 19.90 | 33 | 1 1 0 |
| 22.65 | 100 | 0 1 2 |
| 27.29 | 33 | 0 2 2 |
| 27.48 | 29 | 1 1 -3 |
| 29.84 | 40 | 2 0 -2 |
| 30.21 | 82 | 1 3 -1 |
| 30.89 | 40 | 1 2 1 |
| 37.25 | 26 | 2 0 -4 |
| 41.33 | 33 | 2 2 -4 |

---

# Sr3As2O8
Calculated X-ray powder pattern, Cu Kα X-rays. Input: a crystal structure in the Materials Project, relaxed with PBE.
Kinematic intensities with the Lorentz-polarization factor, no thermal factor.

Structural model:
a b c (Å): 5.6751 5.6751 20.3413
angles (deg): 90.00 90.00 120.00
Space group R-3m (No. 166, hexagonal axes)
Unique sites:
Sr 0.0000 0.0000 0.0000 x3
Sr 0.0000 0.0000 0.2049 x6
As 0.0000 0.0000 0.4070 x6
O 0.0000 0.0000 0.3229 x6
O 0.0017 0.5008 0.2321 x18

Largest 10 diffraction maxima, by angle, 10° ≤ 2θ ≤ 90°:
| 2theta | Rel. int. | index |
| --- | --- | --- |
| 28.48 | 100 | 0 1 5 |
| 31.53 | 99 | 1 1 0 |
| 43.00 | 46 | 2 0 5 |
| 48.43 | 29 | 1 0 10 |
| 54.29 | 33 | 1 2 5 |
| 56.14 | 19 | 3 0 0 |
| 65.83 | 18 | 2 2 0 |
| 68.39 | 20 | 2 1 10 |
| 73.23 | 14 | 3 1 5 |
| 78.11 | 13 | 1 1 15 |

---

# SrAsO3
Calculated X-ray powder pattern, Cu Kα X-rays. Input: a crystal structure in the Materials Project, relaxed with PBE.
Kinematic intensities with the Lorentz-polarization factor, no thermal factor.

Structural model:
a b c (Å): 3.9749 3.9749 3.9749
angles (deg): 90.00 90.00 90.00
Space group Pm-3m (No. 221)
Unique sites:
Sr 0.0000 0.0000 0.0000 x1
As 0.5000 0.5000 0.5000 x1
O 0.0000 0.5000 0.5000 x3

Largest 8 diffraction maxima, by angle, 10° ≤ 2θ ≤ 90°:
| 2theta | Rel. int. | index |
| --- | --- | --- |
| 31.84 | 100 | 1 1 0 |
| 39.26 | 6 | 1 1 1 |
| 45.65 | 37 | 2 0 0 |
| 56.73 | 39 | 2 1 1 |
| 66.54 | 22 | 2 2 0 |
| 75.66 | 17 | 3 1 0 |
| 80.07 | 1 | 3 1 1 |
| 84.42 | 7 | 2 2 2 |

---

# Sr3As2O8
Calculated X-ray powder pattern, Cu Kα X-rays. Input: a crystal structure in the Materials Project, relaxed with PBE.
Kinematic intensities with the Lorentz-polarization factor, no thermal factor.

Structural model:
a b c (Å): 9.9621 12.3536 7.1594
angles (deg): 90.00 97.09 90.00
Space group P2_1/c (No. 14)
Unique sites:
Sr 0.0529 0.1215 0.1796 x4
Sr 0.2974 0.1009 0.6653 x4
Sr 0.3314 0.6716 0.6281 x4
As 0.0788 0.6370 0.8943 x4
As 0.3992 0.1028 0.1860 x4
O 0.0688 0.5778 0.6744 x4
O 0.0724 0.1890 0.5512 x4
O 0.1427 0.5550 0.0752 x4
O 0.1800 0.7487 0.8684 x4
O 0.2834 0.0621 0.9996 x4
O 0.3001 0.1663 0.3345 x4
O 0.4713 0.5158 0.7770 x4
O 0.4808 0.6963 0.3643 x4

Largest 10 diffraction maxima, by angle, 10° ≤ 2θ ≤ 90°:
| 2theta | Rel. int. | index |
| --- | --- | --- |
| 17.76 | 40 | 1 1 1 |
| 23.40 | 53 | 1 3 0 |
| 25.58 | 45 | 1 0 -2 |
| 26.59 | 37 | 1 1 -2 |
| 27.10 | 89 | 3 0 0 |
| 27.34 | 100 | 2 2 1 |
| 28.91 | 75 | 0 4 0 |
| 29.34 | 72 | 3 1 -1 |
| 31.96 | 38 | 3 2 -1 |
| 33.31 | 34 | 0 3 2 |

---

# Sr4As2O
Calculated X-ray powder pattern, Cu Kα X-rays. Input: a crystal structure in the Materials Project, relaxed with PBE.
Kinematic intensities with the Lorentz-polarization factor, no thermal factor.

Structural model:
a b c (Å): 4.8835 4.8835 16.4595
angles (deg): 90.00 90.00 90.00
Space group I4/mmm (No. 139)
Unique sites:
Sr 0.0000 0.0000 0.1738 x4
Sr 0.0000 0.5000 0.0000 x4
As 0.0000 0.0000 0.3639 x4
O 0.0000 0.0000 0.0000 x2

Largest 10 diffraction maxima, by angle, 10° ≤ 2θ ≤ 90°:
| 2theta | Rel. int. | index |
| --- | --- | --- |
| 25.80 | 23 | 1 1 0 |
| 28.02 | 97 | 1 1 2 |
| 32.64 | 37 | 0 0 6 |
| 32.81 | 33 | 1 0 5 |
| 33.89 | 100 | 1 1 4 |
| 36.81 | 81 | 2 0 0 |
| 50.01 | 43 | 2 0 6 |
| 53.04 | 27 | 2 2 0 |
| 61.05 | 22 | 3 1 2 |
| 64.44 | 31 | 3 1 4 |

---

Q: Which formula does entry 4 have?
A: Sr3As2O8

---

Q: What is the formula in the first record?
A: Sr3As2O8

---

Q: Which formula does entry 2 have?
A: Sr3As2O8